Record 1
Calculated powder XRD pattern of KBOF2 for CuKα, from a structure optimized by DFT (GGA-PBE).
Peak positions follow from Bragg's law for the DFT cell and can differ from measured ones.

Main lines, sorted by position (10° ≤ 2θ ≤ 80°):
d = 3.305 Å, 26.98°, intensity 728, (1 2 -1); d = 3.198 Å, 27.90°, intensity 451, (3 0 -2); d = 3.177 Å, 28.09°, intensity 448, (1 2 -2); d = 3.149 Å, 28.34°, intensity 527, (3 0 -4); d = 2.996 Å, 29.82°, intensity 864, (0 0 4); d = 2.877 Å, 31.09°, intensity 394, (2 1 1); d = 2.755 Å, 32.50°, intensity 720, (0 1 4); d = 2.178 Å, 41.46°, intensity 1000, (0 3 2); d = 2.038 Å, 44.46°, intensity 569, (2 1 -7); d = 1.983 Å, 45.75°, intensity 416, (4 2 -5)

Atomic structure:
Cell lengths 9.881, 7.013, 15.295 Å; angles 90.00, 128.41, 90.00 degrees
Space group P2_1/c (No. 14)
Symmetry-distinct sites (fractional):
K1 0.103 0.094 0.427 [4 per cell]
K2 0.281 0.571 0.579 [4 per cell]
K3 0.349 0.724 0.853 [4 per cell]
B1 0.089 0.146 0.179 [4 per cell]
B2 0.284 0.112 0.689 [4 per cell]
B3 0.350 0.234 0.864 [4 per cell]
O1 0.139 0.239 0.626 [4 per cell]
O2 0.208 0.135 0.298 [4 per cell]
O3 0.363 0.089 0.805 [4 per cell]
F1 0.053 0.550 0.633 [4 per cell]
F2 0.082 0.712 0.359 [4 per cell]
F3 0.228 0.579 0.135 [4 per cell]
F4 0.341 0.147 0.949 [4 per cell]
F5 0.413 0.171 0.675 [4 per cell]
F6 0.486 0.658 0.066 [4 per cell]


Record 2
Calculated powder XRD pattern of Li2B3O4F3 for CuKα, from a structure optimized by DFT (GGA-PBE).
Peak positions follow from Bragg's law for the DFT cell and can differ from measured ones.

Main lines, sorted by position (10° ≤ 2θ ≤ 80°):
d = 4.610 Å, 19.25°, intensity 1000, (1 0 1); d = 4.086 Å, 21.75°, intensity 447, (1 1 1); d = 3.755 Å, 23.70°, intensity 252, (0 1 3); d = 3.600 Å, 24.73°, intensity 138, (0 2 2); d = 3.552 Å, 25.07°, intensity 194, (1 1 2); d = 2.864 Å, 31.23°, intensity 273, (0 3 1); d = 2.543 Å, 35.29°, intensity 251, (0 2 4); d = 2.481 Å, 36.20°, intensity 213, (2 0 0); d = 2.130 Å, 42.44°, intensity 143, (2 0 3); d = 1.814 Å, 50.29°, intensity 125, (2 3 2)

Atomic structure:
Cell lengths 4.963, 8.829, 12.446 Å; angles 90.00, 90.00, 90.00 degrees
Space group P2_12_12_1 (No. 19)
Symmetry-distinct sites (fractional):
Li1 0.086 0.145 0.103 [4 per cell]
Li2 0.160 0.206 0.572 [4 per cell]
B1 0.022 0.921 0.270 [4 per cell]
B2 0.080 0.182 0.340 [4 per cell]
B3 0.091 0.469 0.039 [4 per cell]
O1 0.036 0.627 0.060 [4 per cell]
O2 0.042 0.366 0.129 [4 per cell]
O3 0.052 0.826 0.183 [4 per cell]
O4 0.059 0.073 0.252 [4 per cell]
F1 0.071 0.920 0.553 [4 per cell]
F2 0.132 0.788 0.855 [4 per cell]
F3 0.134 0.551 0.503 [4 per cell]